This entry pairs a crystal structure of Nd4PuSb5 with its simulated XRD peak list. Radiation: CuKα. Structure: a crystal structure in Alexandria, relaxed with PBE.
Neutral-atom scattering factors, no anomalous dispersion.

Structure:
a = 4.509 Å, b = 4.509 Å, c = 31.839 Å
α = 90.00°, β = 90.00°, γ = 90.00°
Space group I4/mmm (No. 139)
One atom of each set of equivalent atoms:
Nd: 0.000 0.000 0.100 (multiplicity 4)
Nd: 0.000 0.000 0.300 (multiplicity 4)
Pu: 0.000 0.000 0.500 (multiplicity 2)
Sb: 0.000 0.000 0.000 (multiplicity 2)
Sb: 0.000 0.000 0.200 (multiplicity 4)
Sb: 0.000 0.000 0.401 (multiplicity 4)

The 10 most intense peaks (10 to 90 degrees two-theta), by angle:
(1 0 5), d = 3.680 Å, 2θ 24.19, intensity 4
(1 1 0), d = 3.187 Å, 2θ 28.00, intensity 100
(2 0 0), d = 2.253 Å, 2θ 40.01, intensity 77
(1 0 15), d = 1.922 Å, 2θ 47.30, intensity 2
(2 0 10), d = 1.840 Å, 2θ 49.54, intensity 28
(2 2 0), d = 1.593 Å, 2θ 57.87, intensity 13
(3 1 0), d = 1.426 Å, 2θ 65.47, intensity 24
(1 1 20), d = 1.424 Å, 2θ 65.54, intensity 12
(3 1 10), d = 1.301 Å, 2θ 72.68, intensity 26
(4 0 0), d = 1.127 Å, 2θ 86.35, intensity 9